No. 1
This entry pairs a crystal structure of YZr4N4 with its computed powder diffraction line list. Radiation: Cu Kα X-rays. Structure: DFT lattice parameters and positions (PBE).

Principal peaks in the range 2θ = 10–90°, sorted by position:
- 33.1°, I 100.0
- 38.1°, I 53.4
- 39.2°, I 25.6
- 55.0°, I 16.2
- 55.8°, I 24.9
- 55.8°, I 8.2
- 65.7°, I 18.6
- 69.5°, I 11.4

Cell and atoms:
Lattice parameters (Å, degrees): 4.602 5.755 5.761 80.89 66.52 66.54
Fractional coordinates of all 9 atoms:
Y 0.000 0.000 0.000
Zr 0.185 0.204 0.427
Zr 0.389 0.427 0.796
Zr 0.611 0.573 0.204
Zr 0.815 0.796 0.573
N 0.102 0.590 0.206
N 0.307 0.794 0.591
N 0.693 0.206 0.409
N 0.898 0.410 0.794

=====

No. 2
This entry pairs a crystal structure of LiNi2Sn2 with its computed powder diffraction line list. Radiation: Cu Kα X-rays. Structure: DFT lattice parameters and positions (PBE).

Principal peaks in the range 2θ = 10–90°, sorted by position:
- 22.6°, I 32.7
- 28.7°, I 23.3
- 30.8°, I 10.4
- 41.4°, I 21.5
- 42.1°, I 100.0
- 60.5°, I 13.9
- 76.0°, I 14.0
- 76.9°, I 13.6

Cell and atoms:
Lattice parameters (Å, degrees): 4.294 4.364 9.017 90.00 90.00 90.00
Fractional coordinates of all 10 atoms:
Li 0.250 0.250 0.169
Li 0.750 0.750 0.831
Ni 0.250 0.750 0.010
Ni 0.250 0.750 0.331
Ni 0.750 0.250 0.669
Ni 0.750 0.250 0.990
Sn 0.250 0.250 0.488
Sn 0.250 0.250 0.838
Sn 0.750 0.750 0.162
Sn 0.750 0.750 0.512

=====

No. 3
This entry pairs a crystal structure of Ac2LaNd5 with its computed powder diffraction line list. Radiation: Cu Kα X-rays. Structure: DFT lattice parameters and positions (PBE).

Principal peaks in the range 2θ = 10–90°, sorted by position:
- 29.1°, I 100.0
- 33.5°, I 17.3
- 33.8°, I 33.7
- 48.3°, I 24.9
- 48.5°, I 12.3
- 57.2°, I 15.1
- 57.6°, I 29.6
- 60.2°, I 12.9

Cell and atoms:
Lattice parameters (Å, degrees): 7.501 15.011 5.354 90.00 90.00 90.00
Fractional coordinates of all 16 atoms:
Ac 0.248 0.126 0.000
Ac 0.252 0.626 0.000
Ac 0.748 0.374 0.000
Ac 0.752 0.874 0.000
La 0.000 0.500 0.500
La 0.500 0.000 0.500
Nd 0.000 0.000 0.500
Nd 0.003 0.751 0.500
Nd 0.247 0.375 0.000
Nd 0.253 0.875 0.000
Nd 0.497 0.251 0.500
Nd 0.500 0.500 0.500
Nd 0.503 0.749 0.500
Nd 0.747 0.125 0.000
Nd 0.753 0.625 0.000
Nd 0.997 0.249 0.500

=====

No. 4
This entry pairs a crystal structure of LaAlCuPd with its computed powder diffraction line list. Radiation: Cu Kα X-rays. Structure: DFT lattice parameters and positions (PBE).

Principal peaks in the range 2θ = 10–90°, sorted by position:
- 24.1°, I 97.7
- 33.7°, I 77.2
- 38.4°, I 85.4
- 41.0°, I 100.0
- 55.9°, I 31.0
- 57.4°, I 25.7
- 67.7°, I 21.7
- 73.0°, I 24.6

Cell and atoms:
Lattice parameters (Å, degrees): 4.401 4.401 14.856 90.00 90.00 120.00
Fractional coordinates of all 12 atoms:
La 0.000 0.000 0.000
La 0.333 0.667 0.667
La 0.667 0.333 0.333
Al 0.000 0.000 0.500
Al 0.333 0.667 0.166
Al 0.667 0.333 0.833
Cu 0.000 0.000 0.202
Cu 0.333 0.667 0.868
Cu 0.667 0.333 0.535
Pd 0.000 0.000 0.799
Pd 0.333 0.667 0.465
Pd 0.667 0.333 0.132

=====

No. 5
This entry pairs a crystal structure of PrAsRh2 with its computed powder diffraction line list. Radiation: Cu Kα X-rays. Structure: DFT lattice parameters and positions (PBE).

Principal peaks in the range 2θ = 10–90°, sorted by position:
- 32.5°, I 27.5
- 34.2°, I 100.0
- 36.4°, I 18.6
- 44.2°, I 47.1
- 44.9°, I 18.2
- 49.4°, I 12.8
- 64.3°, I 16.2
- 74.9°, I 19.9

Cell and atoms:
Lattice parameters (Å, degrees): 4.092 18.584 4.098 90.00 90.00 90.00
Fractional coordinates of all 16 atoms:
Pr 0.000 0.099 0.250
Pr 0.000 0.901 0.750
Pr 0.500 0.401 0.750
Pr 0.500 0.599 0.250
As 0.000 0.327 0.250
As 0.000 0.673 0.750
As 0.500 0.173 0.750
As 0.500 0.827 0.250
Rh 0.000 0.250 0.750
Rh 0.000 0.457 0.250
Rh 0.000 0.543 0.750
Rh 0.000 0.750 0.250
Rh 0.500 0.043 0.750
Rh 0.500 0.250 0.250
Rh 0.500 0.750 0.750
Rh 0.500 0.957 0.250

=====

No. 6
This entry pairs a crystal structure of Ba6Na2HPd with its computed powder diffraction line list. Radiation: Cu Kα X-rays. Structure: DFT lattice parameters and positions (PBE).

Principal peaks in the range 2θ = 10–90°, sorted by position:
- 14.3°, I 54.6
- 24.9°, I 100.0
- 28.8°, I 88.1
- 32.3°, I 30.3
- 41.2°, I 65.9
- 48.7°, I 47.4
- 51.1°, I 23.3
- 67.6°, I 27.5

Cell and atoms:
Lattice parameters (Å, degrees): 8.763 8.763 8.757 119.94 119.94 90.09
Fractional coordinates of all 10 atoms:
Ba 0.000 0.000 0.000
Ba 0.001 0.001 0.496
Ba 0.001 0.506 0.001
Ba 0.506 0.001 0.001
Ba 0.506 0.506 0.507
Ba 0.507 0.507 0.002
Na 0.004 0.503 0.501
Na 0.503 0.004 0.501
H 0.753 0.753 0.001
Pd 0.253 0.253 0.001

=====

No. 7
This entry pairs a crystal structure of KPt2Rh with its computed powder diffraction line list. Radiation: Cu Kα X-rays. Structure: DFT lattice parameters and positions (PBE).

Principal peaks in the range 2θ = 10–90°, sorted by position:
- 11.2°, I 100.0
- 24.5°, I 18.4
- 33.5°, I 48.8
- 39.6°, I 15.2
- 39.7°, I 15.4
- 40.9°, I 49.9
- 42.3°, I 30.6
- 42.5°, I 16.3

Cell and atoms:
Lattice parameters (Å, degrees): 2.776 3.633 7.918 90.00 90.15 90.00
Fractional coordinates of all 4 atoms:
K 0.000 0.000 0.000
Pt 0.499 0.500 0.318
Pt 0.501 0.500 0.682
Rh 0.000 0.000 0.500

=====

No. 8
This entry pairs a crystal structure of AcB6W2 with its computed powder diffraction line list. Radiation: Cu Kα X-rays. Structure: DFT lattice parameters and positions (PBE).

Principal peaks in the range 2θ = 10–90°, sorted by position:
- 25.0°, I 93.5
- 29.5°, I 67.4
- 33.3°, I 100.0
- 36.9°, I 60.5
- 39.0°, I 79.9
- 49.6°, I 34.9
- 52.2°, I 65.6
- 67.6°, I 26.8

Cell and atoms:
Lattice parameters (Å, degrees): 5.854 5.854 5.854 147.95 105.12 83.77
Fractional coordinates of all 9 atoms:
Ac 0.000 0.000 0.000
B 0.069 0.305 0.764
B 0.344 0.500 0.844
B 0.459 0.695 0.764
B 0.541 0.305 0.236
B 0.656 0.500 0.156
B 0.931 0.695 0.236
W 0.346 0.846 0.500
W 0.654 0.154 0.500

=====

No. 9
This entry pairs a crystal structure of SrB12H12O8 with its computed powder diffraction line list. Radiation: Cu Kα X-rays. Structure: DFT lattice parameters and positions (PBE).

Principal peaks in the range 2θ = 10–90°, sorted by position:
- 16.2°, I 100.0
- 20.6°, I 72.7
- 24.5°, I 37.7
- 26.5°, I 25.2
- 32.7°, I 25.8
- 36.9°, I 48.0
- 39.9°, I 21.2
- 44.1°, I 21.2

Cell and atoms:
Lattice parameters (Å, degrees): 7.315 7.315 7.315 72.26 72.26 72.26
Fractional coordinates of all 33 atoms:
Sr 0.000 0.000 0.000
B 0.280 0.474 0.490
B 0.289 0.628 0.653
B 0.347 0.711 0.372
B 0.372 0.347 0.711
B 0.474 0.490 0.280
B 0.490 0.280 0.474
B 0.510 0.720 0.526
B 0.526 0.510 0.720
B 0.628 0.653 0.289
B 0.653 0.289 0.628
B 0.711 0.372 0.347
B 0.720 0.526 0.510
H 0.059 0.257 0.236
H 0.127 0.454 0.484
H 0.236 0.059 0.257
H 0.257 0.236 0.059
H 0.454 0.484 0.127
H 0.484 0.127 0.454
H 0.516 0.873 0.546
H 0.546 0.516 0.873
H 0.743 0.764 0.941
H 0.764 0.941 0.743
H 0.873 0.546 0.516
H 0.941 0.743 0.764
O 0.142 0.730 0.770
O 0.215 0.215 0.215
O 0.230 0.858 0.270
O 0.270 0.230 0.858
O 0.730 0.770 0.142
O 0.770 0.142 0.730
O 0.785 0.785 0.785
O 0.858 0.270 0.230

=====

No. 10
This entry pairs a crystal structure of Sr2LiH8O6 with its computed powder diffraction line list. Radiation: Cu Kα X-rays. Structure: DFT lattice parameters and positions (PBE).

Principal peaks in the range 2θ = 10–90°, sorted by position:
- 12.8°, I 100.0
- 15.6°, I 56.5
- 18.6°, I 52.1
- 22.9°, I 43.8
- 30.0°, I 44.2
- 33.9°, I 43.4
- 35.4°, I 54.5
- 38.3°, I 36.1

Cell and atoms:
Lattice parameters (Å, degrees): 7.025 3.824 7.882 90.00 99.95 90.00
Fractional coordinates of all 17 atoms:
Sr 0.000 0.000 0.000
Sr 0.265 0.000 0.554
Li 0.931 0.500 0.631
H 0.277 0.500 0.886
H 0.412 0.210 0.194
H 0.412 0.790 0.194
H 0.559 0.500 0.455
H 0.684 0.204 0.656
H 0.684 0.796 0.656
H 0.721 0.500 0.125
H 0.983 0.500 0.328
O 0.061 0.500 0.446
O 0.149 0.500 0.813
O 0.335 0.000 0.224
O 0.545 0.500 0.577
O 0.778 0.000 0.699
O 0.856 0.500 0.108

=====

No. 11
This entry pairs a crystal structure of Pm5Pu2Pb4 with its computed powder diffraction line list. Radiation: Cu Kα X-rays. Structure: DFT lattice parameters and positions (PBE).

Principal peaks in the range 2θ = 10–90°, sorted by position:
- 26.9°, I 66.3
- 27.2°, I 69.7
- 28.8°, I 100.0
- 29.9°, I 59.8
- 31.8°, I 54.0
- 39.8°, I 73.9
- 40.5°, I 59.0
- 59.5°, I 51.7

Cell and atoms:
Lattice parameters (Å, degrees): 10.382 10.382 9.175 94.79 94.79 19.92
Fractional coordinates of all 11 atoms:
Pm 0.000 0.000 0.000
Pm 0.097 0.097 0.470
Pm 0.323 0.323 0.164
Pm 0.677 0.677 0.836
Pm 0.903 0.903 0.530
Pu 0.236 0.236 0.428
Pu 0.764 0.764 0.572
Pb 0.158 0.158 0.130
Pb 0.474 0.474 0.287
Pb 0.526 0.526 0.713
Pb 0.842 0.842 0.870

=====

No. 12
This entry pairs a crystal structure of Li6Cd with its computed powder diffraction line list. Radiation: Cu Kα X-rays. Structure: DFT lattice parameters and positions (PBE).

Principal peaks in the range 2θ = 10–90°, sorted by position:
- 10.5°, I 100.0
- 21.1°, I 21.0
- 22.4°, I 37.2
- 24.8°, I 54.8
- 31.0°, I 37.5
- 33.7°, I 36.8
- 38.6°, I 20.5
- 39.3°, I 23.7

Cell and atoms:
Lattice parameters (Å, degrees): 5.607 5.607 8.437 90.00 90.00 90.00
Fractional coordinates of all 14 atoms:
Li 0.076 0.576 0.146
Li 0.076 0.924 0.854
Li 0.250 0.250 0.359
Li 0.250 0.250 0.641
Li 0.424 0.576 0.854
Li 0.424 0.924 0.146
Li 0.576 0.076 0.854
Li 0.576 0.424 0.146
Li 0.750 0.750 0.359
Li 0.750 0.750 0.641
Li 0.924 0.076 0.146
Li 0.924 0.424 0.854
Cd 0.250 0.750 0.500
Cd 0.750 0.250 0.500